# RbIn5Sn2
Theoretical powder XRD pattern, Cu Kα (λ = 1.5418 Å). Input: a structure optimized by DFT (PBE).

Atomic structure:
abc: 4.478 8.937 12.723
angles: 90.00 90.00 90.00
Space group Immm (No. 71)
Symmetry-distinct sites (fractional):
Rb 0.000 0.000 0.000 (multiplicity 2)
In 0.000 0.195 0.368 (multiplicity 8)
In 0.000 0.500 0.000 (multiplicity 2)
Sn 0.000 0.500 0.246 (multiplicity 4)

Peak list (8 most intense, 5 to 70 degrees two-theta, in order of rising 2θ)
- 12.1 deg, rel. 22, (0 1 1)
- 29.1 deg, rel. 100, (1 0 3)
- 34.6 deg, rel. 56, (0 2 4)
- 36.1 deg, rel. 28, (1 1 4)
- 36.2 deg, rel. 35, (1 3 0)
- 40.3 deg, rel. 32, (2 0 0)
- 54.1 deg, rel. 31, (2 2 4)
- 63.2 deg, rel. 16, (1 5 4)